The following is a computed powder diffractogram of AcIn2Se4. It was derived from a DFT-relaxed cell (GGA-PBE, Alexandria), using Cu Kα (weighted mean of Kα1 and Kα2).

Principal peaks in the range 2θ from 10° to 80°, low angle first:
- 2θ 14.48, I 16.0, (1 0 0)
- 2θ 19.29, I 28.1, (1 0 1)
- 2θ 24.20, I 100.0, (1 1 1)
- 2θ 29.45, I 13.8, (1 0 2)
- 2θ 32.72, I 10.5, (2 1 0)
- 2θ 35.22, I 13.4, (2 1 1)
- 2θ 39.15, I 52.9, (2 0 2)
- 2θ 41.75, I 21.9, (2 2 0)
- 2θ 44.18, I 19.5, (1 1 3)
- 2θ 48.84, I 28.7, (3 1 1)
- 2θ 62.41, I 12.9, (3 1 3)
- 2θ 74.48, I 14.0, (4 2 2)

Cell: 6.1191 6.1191 6.9830 Å, 90.00 90.00 90.00°
Sites, in units of the cell vectors:
Ac (0.0000, 0.0000, 0.0000)
In (0.0000, 0.5000, 0.5000)
In (0.5000, 0.0000, 0.5000)
Se (0.2719, 0.2719, 0.2690)
Se (0.2719, 0.7281, 0.7310)
Se (0.7281, 0.2719, 0.7310)
Se (0.7281, 0.7281, 0.2690)